# 1
For Ba2In5Au12, the PBE geometry in Alexandria gives the simulated powder diffractogram in this record (copper Kα).

Structural model:
```
data_Ba2In5Au12
_chemical_formula_sum 'Ba6 In15 Au36'
_cell_length_a 10.2386
_cell_length_b 10.2386
_cell_length_c 14.1786
_cell_angle_alpha 90.00
_cell_angle_beta 90.00
_cell_angle_gamma 120.00
_symmetry_space_group_name_H-M 'R -3 m'
_symmetry_Int_Tables_number 166
_symmetry_space_group_name_Hall '-R 3 2"'
loop_
_atom_site_label
_atom_site_type_symbol
_atom_site_fract_x
_atom_site_fract_y
_atom_site_fract_z
Ba1 Ba 0.0000 0.0000 0.1472
In1 In 0.0000 0.0000 0.4029
In2 In 0.0000 0.5000 0.0000
Au1 Au 0.0000 0.3169 0.5000
Au2 Au 0.0081 0.5041 0.3436
```

Main lines, sorted by position (2θ = 10–80°):
| two_theta | intensity | (hkl) |
| --- | --- | --- |
| 17.32 | 30 | 1 1 0 |
| 30.24 | 29 | 3 0 0 |
| 35.06 | 33 | 2 2 0 |
| 35.83 | 100 | 3 0 3 |
| 38.08 | 29 | 0 0 6 |
| 40.06 | 78 | 2 2 3 |
| 57.41 | 23 | 3 3 3 |
| 62.89 | 27 | 6 0 0 |

---

# 2
For Pr2MgSc, the PBE geometry in Alexandria gives the simulated powder diffractogram in this record (copper Kα).

Structural model:
```
data_Pr2MgSc
_chemical_formula_sum 'Pr8 Mg4 Sc4'
_cell_length_a 7.8227
_cell_length_b 7.8227
_cell_length_c 7.8227
_cell_angle_alpha 90.00
_cell_angle_beta 90.00
_cell_angle_gamma 90.00
_symmetry_space_group_name_H-M 'F m -3 m'
_symmetry_Int_Tables_number 225
_symmetry_space_group_name_Hall '-F 4 2 3'
loop_
_atom_site_label
_atom_site_type_symbol
_atom_site_fract_x
_atom_site_fract_y
_atom_site_fract_z
Pr1 Pr 0.2500 0.2500 0.2500
Mg1 Mg 0.0000 0.0000 0.0000
Sc1 Sc 0.0000 0.0000 0.5000
```

Main lines, sorted by position (2θ = 10–80°):
| two_theta | intensity | (hkl) |
| --- | --- | --- |
| 22.73 | 43 | 2 0 0 |
| 32.37 | 100 | 2 2 0 |
| 39.92 | 14 | 2 2 2 |
| 46.43 | 18 | 4 0 0 |
| 52.30 | 19 | 4 2 0 |
| 57.74 | 37 | 4 2 2 |
| 67.76 | 11 | 4 4 0 |
| 77.11 | 16 | 6 2 0 |

---

# 3
For ZnCr2Pt2, the PBE geometry in Alexandria gives the simulated powder diffractogram in this record (copper Kα).

Structural model:
```
data_ZnCr2Pt2
_chemical_formula_sum 'Zn2 Cr4 Pt4'
_cell_length_a 7.4044
_cell_length_b 7.4044
_cell_length_c 2.8445
_cell_angle_alpha 90.00
_cell_angle_beta 90.00
_cell_angle_gamma 90.00
_symmetry_space_group_name_H-M 'P 4/m b m'
_symmetry_Int_Tables_number 127
_symmetry_space_group_name_Hall '-P 4 2ab'
loop_
_atom_site_label
_atom_site_type_symbol
_atom_site_fract_x
_atom_site_fract_y
_atom_site_fract_z
Zn1 Zn 0.0000 0.0000 0.0000
Cr1 Cr 0.1612 0.3388 0.5000
Pt1 Pt 0.1367 0.6367 0.0000
```

Main lines, sorted by position (2θ = 10–80°):
| two_theta | intensity | (hkl) |
| --- | --- | --- |
| 16.93 | 27 | 1 1 0 |
| 26.93 | 49 | 2 1 0 |
| 31.45 | 24 | 0 0 1 |
| 38.45 | 54 | 3 1 0 |
| 41.87 | 100 | 2 1 1 |
| 49.22 | 15 | 4 0 0 |
| 50.48 | 23 | 3 1 1 |
| 77.03 | 23 | 5 2 1 |

---

# 4
For K2CaF5, the PBE geometry in Alexandria gives the simulated powder diffractogram in this record (copper Kα).

Structural model:
```
data_K2CaF5
_chemical_formula_sum 'K8 Ca4 F20'
_cell_length_a 11.1608
_cell_length_b 7.4290
_cell_length_c 6.6047
_cell_angle_alpha 90.00
_cell_angle_beta 90.00
_cell_angle_gamma 90.00
_symmetry_space_group_name_H-M 'P n m a'
_symmetry_Int_Tables_number 62
_symmetry_space_group_name_Hall '-P 2ac 2n'
loop_
_atom_site_label
_atom_site_type_symbol
_atom_site_fract_x
_atom_site_fract_y
_atom_site_fract_z
K1 K 0.1741 0.0015 0.0438
Ca1 Ca 0.0069 0.2500 0.5403
F1 F 0.0126 0.2500 0.8944
F2 F 0.0786 0.5256 0.6637
F3 F 0.1773 0.2500 0.3572
F4 F 0.1898 0.7500 0.3544
```

Main lines, sorted by position (2θ = 10–80°):
| two_theta | intensity | (hkl) |
| --- | --- | --- |
| 27.52 | 100 | 3 0 1 |
| 28.71 | 78 | 1 2 1 |
| 34.91 | 60 | 4 0 1 |
| 36.80 | 77 | 3 2 1 |
| 37.31 | 100 | 1 2 2 |
| 39.94 | 97 | 2 2 2 |
| 49.03 | 80 | 0 4 0 |
| 49.61 | 66 | 5 2 1 |

---

What did the second record say?
For Pr2MgSc, the PBE geometry in Alexandria gives the simulated powder diffractogram in this record (copper Kα).

Structural model:
```
data_Pr2MgSc
_chemical_formula_sum 'Pr8 Mg4 Sc4'
_cell_length_a 7.8227
_cell_length_b 7.8227
_cell_length_c 7.8227
_cell_angle_alpha 90.00
_cell_angle_beta 90.00
_cell_angle_gamma 90.00
_symmetry_space_group_name_H-M 'F m -3 m'
_symmetry_Int_Tables_number 225
_symmetry_space_group_name_Hall '-F 4 2 3'
loop_
_atom_site_label
_atom_site_type_symbol
_atom_site_fract_x
_atom_site_fract_y
_atom_site_fract_z
Pr1 Pr 0.2500 0.2500 0.2500
Mg1 Mg 0.0000 0.0000 0.0000
Sc1 Sc 0.0000 0.0000 0.5000
```

Main lines, sorted by position (2θ = 10–80°):
| two_theta | intensity | (hkl) |
| --- | --- | --- |
| 22.73 | 43 | 2 0 0 |
| 32.37 | 100 | 2 2 0 |
| 39.92 | 14 | 2 2 2 |
| 46.43 | 18 | 4 0 0 |
| 52.30 | 19 | 4 2 0 |
| 57.74 | 37 | 4 2 2 |
| 67.76 | 11 | 4 4 0 |
| 77.11 | 16 | 6 2 0 |